The following is a calculated powder X-ray diffraction pattern of Y2MgCr3O9. It was derived from a structure optimized by DFT (PBE+U), using Cu Kα.

Main lines, most intense first (2θ = 15–90°):
| Position (°2θ) | intensity |
| --- | --- |
| 26.77 | 100 |
| 32.68 | 84 |
| 36.04 | 76 |
| 46.89 | 73 |
| 20.47 | 49 |
| 48.07 | 45 |
| 60.53 | 31 |
| 69.41 | 29 |
| 54.82 | 25 |
| 30.94 | 24 |

Structural model:
a = 3.8752 Å, b = 3.8752 Å, c = 13.0155 Å
α = 90.00°, β = 90.00°, γ = 90.00°
Atoms (fractional coordinates):
Y 0.0000 0.0000 0.2381
Y 0.0000 0.0000 0.7619
Mg 0.0000 0.0000 0.0000
Cr 0.5000 0.5000 0.0000
Cr 0.5000 0.5000 0.3612
Cr 0.5000 0.5000 0.6388
O 0.0000 0.5000 0.0000
O 0.0000 0.5000 0.3285
O 0.0000 0.5000 0.6715
O 0.5000 0.0000 0.0000
O 0.5000 0.0000 0.3285
O 0.5000 0.0000 0.6715
O 0.5000 0.5000 0.1679
O 0.5000 0.5000 0.5000
O 0.5000 0.5000 0.8321